1.
Diffraction record for CoOF. The powder diffractogram is theoretical, not measured: it uses a cell relaxed with PBE+U and copper Kα.
No peak broadening, texture or thermal motion is included.

Peak list (10 most intense, 2θ = 10–80°, in order of rising 2θ)
2θ = 23.6°, intensity 20; 2θ = 26.8°, intensity 99; 2θ = 27.6°, intensity 100; 2θ = 36.3°, intensity 48; 2θ = 36.5°, intensity 70; 2θ = 51.9°, intensity 15; 2θ = 54.0°, intensity 29; 2θ = 54.9°, intensity 30; 2θ = 63.7°, intensity 19; 2θ = 69.3°, intensity 30

Lattice parameters (Å, degrees): 4.683 2.921 18.394 90.00 91.79 90.00
Fractional coordinates of all 24 atoms:
Co (0.000, 0.000, 0.000)
Co (0.014, 0.000, 0.245)
Co (0.099, 0.000, 0.746)
Co (0.194, 0.000, 0.496)
Co (0.435, 0.500, 0.124)
Co (0.548, 0.500, 0.872)
Co (0.599, 0.500, 0.372)
Co (0.652, 0.500, 0.618)
O (0.163, 0.500, 0.050)
O (0.268, 0.500, 0.794)
O (0.278, 0.000, 0.171)
O (0.364, 0.500, 0.542)
O (0.454, 0.000, 0.423)
O (0.763, 0.000, 0.324)
O (0.828, 0.500, 0.950)
O (0.931, 0.500, 0.697)
F (0.240, 0.500, 0.296)
F (0.337, 0.000, 0.922)
F (0.442, 0.000, 0.668)
F (0.635, 0.000, 0.076)
F (0.758, 0.000, 0.824)
F (0.770, 0.500, 0.195)
F (0.882, 0.000, 0.568)
F (0.984, 0.500, 0.449)

2.
Diffraction record for Co6O7F5. The powder diffractogram is theoretical, not measured: it uses a cell relaxed with PBE+U and copper Kα.
No peak broadening, texture or thermal motion is included.

Peak list (10 most intense, 2θ = 10–80°, in order of rising 2θ)
2θ = 25.1°, intensity 100; 2θ = 29.0°, intensity 79; 2θ = 36.2°, intensity 87; 2θ = 38.7°, intensity 18; 2θ = 51.8°, intensity 30; 2θ = 51.9°, intensity 30; 2θ = 56.2°, intensity 43; 2θ = 60.2°, intensity 21; 2θ = 68.4°, intensity 18; 2θ = 68.6°, intensity 18

Lattice parameters (Å, degrees): 5.542 5.542 7.668 113.00 113.00 67.45
Fractional coordinates of all 18 atoms:
Co (0.000, 0.000, 0.000)
Co (0.003, 0.003, 0.496)
Co (0.336, 0.336, 0.833)
Co (0.345, 0.345, 0.329)
Co (0.655, 0.655, 0.184)
Co (0.668, 0.668, 0.653)
O (0.025, 0.639, 0.329)
O (0.309, 0.691, 0.006)
O (0.367, 0.975, 0.662)
O (0.563, 0.563, 0.372)
O (0.639, 0.025, 0.329)
O (0.691, 0.309, 0.006)
O (0.975, 0.367, 0.662)
F (0.107, 0.107, 0.290)
F (0.227, 0.227, 0.032)
F (0.438, 0.438, 0.627)
F (0.772, 0.772, 0.952)
F (0.906, 0.906, 0.708)

3.
Diffraction record for Co2O3F. The powder diffractogram is theoretical, not measured: it uses a cell relaxed with PBE+U and copper Kα.
No peak broadening, texture or thermal motion is included.

Peak list (10 most intense, 2θ = 10–80°, in order of rising 2θ)
2θ = 27.1°, intensity 76; 2θ = 29.7°, intensity 69; 2θ = 35.8°, intensity 100; 2θ = 40.4°, intensity 14; 2θ = 40.7°, intensity 13; 2θ = 53.8°, intensity 44; 2θ = 56.8°, intensity 41; 2θ = 60.9°, intensity 16; 2θ = 61.7°, intensity 12; 2θ = 70.9°, intensity 25

Lattice parameters (Å, degrees): 4.454 4.454 12.162 90.00 90.00 95.05
Fractional coordinates of all 24 atoms:
Co (0.000, 0.000, 0.000)
Co (0.000, 0.000, 0.500)
Co (0.003, 0.997, 0.750)
Co (0.464, 0.536, 0.624)
Co (0.464, 0.536, 0.876)
Co (0.536, 0.464, 0.124)
Co (0.536, 0.464, 0.376)
Co (0.997, 0.003, 0.250)
O (0.181, 0.819, 0.623)
O (0.181, 0.819, 0.877)
O (0.278, 0.309, 0.750)
O (0.294, 0.294, 0.000)
O (0.294, 0.294, 0.500)
O (0.309, 0.278, 0.250)
O (0.691, 0.722, 0.750)
O (0.706, 0.706, 0.000)
O (0.706, 0.706, 0.500)
O (0.722, 0.691, 0.250)
O (0.819, 0.181, 0.123)
O (0.819, 0.181, 0.377)
F (0.216, 0.784, 0.127)
F (0.216, 0.784, 0.373)
F (0.784, 0.216, 0.627)
F (0.784, 0.216, 0.873)

4.
Diffraction record for Co3OF5. The powder diffractogram is theoretical, not measured: it uses a cell relaxed with PBE+U and copper Kα.
No peak broadening, texture or thermal motion is included.

Peak list (10 most intense, 2θ = 10–80°, in order of rising 2θ)
2θ = 26.3°, intensity 100; 2θ = 27.4°, intensity 89; 2θ = 34.1°, intensity 57; 2θ = 34.4°, intensity 52; 2θ = 51.6°, intensity 35; 2θ = 51.8°, intensity 33; 2θ = 52.7°, intensity 27; 2θ = 53.2°, intensity 25; 2θ = 66.5°, intensity 22; 2θ = 66.9°, intensity 20

Lattice parameters (Å, degrees): 5.642 5.642 7.264 105.75 105.75 73.92
Fractional coordinates of all 18 atoms:
Co (0.000, 0.000, 0.000)
Co (0.001, 0.001, 0.514)
Co (0.341, 0.341, 0.833)
Co (0.348, 0.348, 0.332)
Co (0.666, 0.666, 0.181)
Co (0.687, 0.687, 0.649)
O (0.577, 0.577, 0.364)
O (0.898, 0.898, 0.706)
F (0.033, 0.642, 0.335)
F (0.108, 0.108, 0.304)
F (0.235, 0.235, 0.036)
F (0.309, 0.700, 0.008)
F (0.369, 0.979, 0.667)
F (0.455, 0.455, 0.636)
F (0.642, 0.033, 0.335)
F (0.700, 0.309, 0.008)
F (0.761, 0.761, 0.977)
F (0.979, 0.369, 0.667)

5.
Diffraction record for Co6O5F7. The powder diffractogram is theoretical, not measured: it uses a cell relaxed with PBE+U and copper Kα.
No peak broadening, texture or thermal motion is included.

Peak list (10 most intense, 2θ = 10–80°, in order of rising 2θ)
2θ = 27.7°, intensity 97; 2θ = 27.8°, intensity 100; 2θ = 35.0°, intensity 29; 2θ = 35.4°, intensity 32; 2θ = 35.5°, intensity 28; 2θ = 35.9°, intensity 29; 2θ = 53.7°, intensity 29; 2θ = 54.5°, intensity 31; 2θ = 54.8°, intensity 29; 2θ = 57.1°, intensity 18

Lattice parameters (Å, degrees): 4.550 5.468 7.624 92.95 91.36 90.56
Fractional coordinates of all 18 atoms:
Co (0.000, 0.000, 0.000)
Co (0.010, 0.306, 0.314)
Co (0.020, 0.648, 0.645)
Co (0.460, 0.825, 0.326)
Co (0.481, 0.169, 0.645)
Co (0.555, 0.472, 0.978)
O (0.185, 0.031, 0.216)
O (0.203, 0.353, 0.537)
O (0.293, 0.869, 0.565)
O (0.690, 0.455, 0.743)
O (0.813, 0.279, 0.090)
F (0.198, 0.699, 0.903)
F (0.290, 0.191, 0.892)
F (0.300, 0.509, 0.211)
F (0.703, 0.792, 0.086)
F (0.721, 0.115, 0.419)
F (0.792, 0.966, 0.768)
F (0.807, 0.607, 0.405)

6.
Diffraction record for CoOF. The powder diffractogram is theoretical, not measured: it uses a cell relaxed with PBE+U and copper Kα.
No peak broadening, texture or thermal motion is included.

Peak list (10 most intense, 2θ = 10–80°, in order of rising 2θ)
2θ = 26.0°, intensity 98; 2θ = 28.6°, intensity 84; 2θ = 35.7°, intensity 100; 2θ = 52.4°, intensity 27; 2θ = 52.5°, intensity 31; 2θ = 53.5°, intensity 16; 2θ = 55.3°, intensity 21; 2θ = 55.4°, intensity 24; 2θ = 68.4°, intensity 24; 2θ = 68.7°, intensity 21

Lattice parameters (Å, degrees): 4.649 2.994 13.876 90.00 95.28 90.00
Fractional coordinates of all 18 atoms:
Co (0.000, 0.000, 0.000)
Co (0.036, 0.000, 0.669)
Co (0.087, 0.000, 0.335)
Co (0.472, 0.500, 0.167)
Co (0.519, 0.500, 0.835)
Co (0.561, 0.500, 0.502)
O (0.189, 0.500, 0.065)
O (0.218, 0.500, 0.732)
O (0.259, 0.500, 0.402)
O (0.316, 0.000, 0.233)
O (0.813, 0.500, 0.937)
O (0.859, 0.500, 0.603)
F (0.317, 0.000, 0.899)
F (0.366, 0.000, 0.567)
F (0.694, 0.000, 0.107)
F (0.720, 0.000, 0.770)
F (0.764, 0.000, 0.434)
F (0.826, 0.500, 0.270)

7.
Diffraction record for CoOF. The powder diffractogram is theoretical, not measured: it uses a cell relaxed with PBE+U and copper Kα.
No peak broadening, texture or thermal motion is included.

Peak list (10 most intense, 2θ = 10–80°, in order of rising 2θ)
2θ = 28.2°, intensity 100; 2θ = 35.7°, intensity 66; 2θ = 40.3°, intensity 8; 2θ = 41.1°, intensity 19; 2θ = 47.8°, intensity 10; 2θ = 54.9°, intensity 56; 2θ = 58.2°, intensity 16; 2θ = 60.9°, intensity 10; 2θ = 68.4°, intensity 13; 2θ = 70.2°, intensity 17

Lattice parameters (Å, degrees): 4.480 4.480 6.086 90.00 90.00 90.00
Fractional coordinates of all 12 atoms:
Co (0.028, 0.028, 0.000)
Co (0.472, 0.528, 0.250)
Co (0.528, 0.472, 0.750)
Co (0.972, 0.972, 0.500)
O (0.180, 0.820, 0.250)
O (0.320, 0.320, 0.000)
O (0.680, 0.680, 0.500)
O (0.820, 0.180, 0.750)
F (0.222, 0.778, 0.750)
F (0.278, 0.278, 0.500)
F (0.722, 0.722, 0.000)
F (0.778, 0.222, 0.250)

8.
Diffraction record for Co2O3F. The powder diffractogram is theoretical, not measured: it uses a cell relaxed with PBE+U and copper Kα.
No peak broadening, texture or thermal motion is included.

Peak list (10 most intense, 2θ = 10–80°, in order of rising 2θ)
2θ = 27.6°, intensity 74; 2θ = 29.4°, intensity 74; 2θ = 36.0°, intensity 100; 2θ = 40.8°, intensity 21; 2θ = 54.3°, intensity 23; 2θ = 54.5°, intensity 20; 2θ = 56.6°, intensity 23; 2θ = 56.6°, intensity 21; 2θ = 61.5°, intensity 15; 2θ = 71.1°, intensity 14

Lattice parameters (Å, degrees): 4.434 4.434 12.067 90.16 90.16 86.33
Fractional coordinates of all 24 atoms:
Co (0.000, 0.000, 0.000)
Co (0.000, 0.000, 0.500)
Co (0.002, 0.002, 0.249)
Co (0.466, 0.466, 0.372)
Co (0.471, 0.471, 0.121)
Co (0.529, 0.529, 0.879)
Co (0.534, 0.534, 0.628)
Co (0.998, 0.998, 0.751)
O (0.180, 0.180, 0.375)
O (0.192, 0.192, 0.120)
O (0.281, 0.681, 0.242)
O (0.293, 0.707, 0.500)
O (0.305, 0.695, 0.000)
O (0.319, 0.719, 0.758)
O (0.681, 0.281, 0.242)
O (0.695, 0.305, 0.000)
O (0.707, 0.293, 0.500)
O (0.719, 0.319, 0.758)
O (0.808, 0.808, 0.880)
O (0.820, 0.820, 0.625)
F (0.219, 0.219, 0.629)
F (0.225, 0.225, 0.875)
F (0.775, 0.775, 0.125)
F (0.781, 0.781, 0.371)

Repeat the fourth record exactly.
Diffraction record for Co3OF5. The powder diffractogram is theoretical, not measured: it uses a cell relaxed with PBE+U and copper Kα.
No peak broadening, texture or thermal motion is included.

Peak list (10 most intense, 2θ = 10–80°, in order of rising 2θ)
2θ = 26.3°, intensity 100; 2θ = 27.4°, intensity 89; 2θ = 34.1°, intensity 57; 2θ = 34.4°, intensity 52; 2θ = 51.6°, intensity 35; 2θ = 51.8°, intensity 33; 2θ = 52.7°, intensity 27; 2θ = 53.2°, intensity 25; 2θ = 66.5°, intensity 22; 2θ = 66.9°, intensity 20

Lattice parameters (Å, degrees): 5.642 5.642 7.264 105.75 105.75 73.92
Fractional coordinates of all 18 atoms:
Co (0.000, 0.000, 0.000)
Co (0.001, 0.001, 0.514)
Co (0.341, 0.341, 0.833)
Co (0.348, 0.348, 0.332)
Co (0.666, 0.666, 0.181)
Co (0.687, 0.687, 0.649)
O (0.577, 0.577, 0.364)
O (0.898, 0.898, 0.706)
F (0.033, 0.642, 0.335)
F (0.108, 0.108, 0.304)
F (0.235, 0.235, 0.036)
F (0.309, 0.700, 0.008)
F (0.369, 0.979, 0.667)
F (0.455, 0.455, 0.636)
F (0.642, 0.033, 0.335)
F (0.700, 0.309, 0.008)
F (0.761, 0.761, 0.977)
F (0.979, 0.369, 0.667)